Simulated PXRD pattern of ZnW4O9 for Cu Kα, from a GGA+U-relaxed structure.

Crystal structure
```
ZnW4O9
1.0
6.9175 0.0000 0.0000
0.0000 6.9175 0.0000
0.0000 0.0000 3.8806
Zn W O
1 4 9
direct
0.0000 0.0000 0.0000
0.1980 0.6296 0.5000
0.3704 0.1980 0.5000
0.6296 0.8020 0.5000
0.8020 0.3704 0.5000
0.1077 0.3459 0.5000
0.2018 0.6325 0.0000
0.3459 0.8923 0.5000
0.3675 0.2018 0.0000
0.5000 0.5000 0.5000
0.6325 0.7982 0.0000
0.6541 0.1077 0.5000
0.7982 0.3675 0.0000
0.8923 0.6541 0.5000
```

Largest 6 diffraction maxima, by angle, 2θ from 10° to 90°:
h k l  2θ/deg  I/Imax
0 0 1  22.92  632
2 1 0  28.86  1000
2 1 1  37.17  573
1 3 0  41.27  451
1 3 1  47.73  303
2 1 2  55.94  321